# 1
Theoretical X-ray powder pattern
Compound: RuRhSe
Radiation: Cu Kα (weighted mean of Kα1 and Kα2)
Structure: a GGA-PBE-relaxed structure
Intensities are scaled so that the largest is 1000.

Most intense lines, 2θ from 15° to 90°, in order of falling intensity:
| index | 2θ (°) | Rel. int. |
| --- | --- | --- |
| 3 0 2 | 41.18 | 1000 |
| 0 0 2 | 34.82 | 895 |
| 4 1 1 | 45.61 | 594 |
| 0 2 0 | 62.44 | 511 |
| 2 1 1 | 37.76 | 449 |
| 6 0 0 | 43.36 | 414 |
| 6 2 0 | 79.06 | 413 |
| 5 1 1 | 50.85 | 332 |
| 6 0 2 | 56.77 | 314 |
| 1 1 1 | 35.58 | 309 |

Structure:
```
data_RuRhSe
_symmetry_space_group_name_H-M 'A m m 2'
_symmetry_Int_Tables_number 38
_symmetry_space_group_name_Hall 'A 2 -2'
_cell_length_a 12.521
_cell_length_b 2.975
_cell_length_c 5.153
_cell_angle_alpha 90.00
_cell_angle_beta 90.00
_cell_angle_gamma 90.00
loop_
_atom_site_label
_atom_site_fract_x
_atom_site_fract_y
_atom_site_fract_z
Ru1 0.171 0.000 0.000
Rh1 0.000 0.000 0.334
Rh2 0.500 0.000 0.334
Se1 0.310 0.000 0.333
```



# 2
Theoretical X-ray powder pattern
Compound: Cs2PuBe2Se4
Radiation: Cu Kα (weighted mean of Kα1 and Kα2)
Structure: a GGA-PBE-relaxed structure
Intensities are scaled so that the largest is 1000.

Most intense lines, 2θ from 15° to 90°, in order of falling intensity:
| index | 2θ (°) | Rel. int. |
| --- | --- | --- |
| 1 1 -2 | 30.45 | 1000 |
| 4 0 1 | 29.97 | 467 |
| 5 1 -1 | 36.47 | 433 |
| 3 1 3 | 49.27 | 271 |
| 1 1 0 | 22.81 | 268 |
| 3 1 -1 | 28.44 | 202 |
| 0 2 0 | 44.82 | 187 |
| 3 1 1 | 32.96 | 179 |
| 2 0 1 | 18.89 | 173 |
| 4 0 -1 | 23.08 | 172 |

Structure:
```
data_Cs2PuBe2Se4
_symmetry_space_group_name_H-M 'C 1 2/m 1'
_symmetry_Int_Tables_number 12
_symmetry_space_group_name_Hall '-C 2y'
_cell_length_a 15.543
_cell_length_b 4.044
_cell_length_c 8.553
_cell_angle_alpha 90.00
_cell_angle_beta 109.49
_cell_angle_gamma 90.00
loop_
_atom_site_label
_atom_site_fract_x
_atom_site_fract_y
_atom_site_fract_z
Cs1 0.134 0.000 0.043
Pu1 0.000 0.000 0.500
Be1 0.172 0.500 0.470
Se1 0.035 0.500 0.277
Se2 0.206 0.000 0.631
```



# 3
Theoretical X-ray powder pattern
Compound: Pr5Nd2In5
Radiation: Cu Kα (weighted mean of Kα1 and Kα2)
Structure: a GGA-PBE-relaxed structure
Intensities are scaled so that the largest is 1000.

Most intense lines, 2θ from 15° to 90°, in order of falling intensity:
| index | 2θ (°) | Rel. int. |
| --- | --- | --- |
| 3 1 1 | 32.18 | 1000 |
| 3 1 -3 | 32.01 | 975 |
| 0 2 0 | 33.45 | 653 |
| 0 0 4 | 30.54 | 557 |
| 0 2 4 | 45.91 | 390 |
| 3 3 -3 | 58.86 | 231 |
| 3 3 1 | 58.98 | 173 |
| 3 1 0 | 29.18 | 167 |
| 3 1 5 | 55.44 | 133 |
| 3 1 -7 | 55.11 | 128 |

Structure:
```
data_Pr5Nd2In5
_symmetry_space_group_name_H-M 'C 1 2/m 1'
_symmetry_Int_Tables_number 12
_symmetry_space_group_name_Hall '-C 2y'
_cell_length_a 11.804
_cell_length_b 5.359
_cell_length_c 12.380
_cell_angle_alpha 90.00
_cell_angle_beta 108.97
_cell_angle_gamma 90.00
loop_
_atom_site_label
_atom_site_fract_x
_atom_site_fract_y
_atom_site_fract_z
Pr1 0.000 0.000 0.000
Pr2 0.132 0.000 0.775
Pr3 0.155 0.000 0.502
Nd1 0.068 0.500 0.256
In1 0.000 0.500 0.500
In2 0.176 0.500 0.962
In3 0.235 0.000 0.271
```